Entry 1:
Diffraction record for Ca5Pd2Pb5. The powder XRD pattern is theoretical, not measured: it uses a cell relaxed with PBE and λ = 1.5418 Å (Cu Kα).
Peak positions follow from Bragg's law for the DFT cell and can differ from measured ones.

Most intense lines, 2θ = 5–70°, in order of rising 2θ:
- 16.6 deg, d 5.350, rel. 197
- 19.7 deg, d 4.503, rel. 747
- 21.8 deg, d 4.085, rel. 220
- 22.0 deg, d 4.034, rel. 181
- 26.0 deg, d 3.421, rel. 256
- 31.2 deg, d 2.863, rel. 1000
- 32.6 deg, d 2.746, rel. 301
- 34.3 deg, d 2.615, rel. 954
- 37.5 deg, d 2.401, rel. 496
- 42.5 deg, d 2.128, rel. 180
- 43.4 deg, d 2.084, rel. 313
- 43.7 deg, d 2.071, rel. 236

Atomic structure:
```
data_Ca5Pd2Pb5
_cell_length_a 8.6590
_cell_length_b 8.6590
_cell_length_c 10.7025
_cell_angle_alpha 127.06
_cell_angle_beta 127.06
_cell_angle_gamma 32.20
_symmetry_space_group_name_H-M 'P 1'
_symmetry_Int_Tables_number 1
loop_
_symmetry_equiv_pos_as_xyz
'x,y,z'
loop_
_atom_site_label
_atom_site_type_symbol
_atom_site_fract_x
_atom_site_fract_y
_atom_site_fract_z
_atom_site_occupancy
Ca1 Ca 0.0000 0.0000 0.0000 1
Ca2 Ca 0.1349 0.1349 0.8384 1
Ca3 Ca 0.1666 0.1666 0.5086 1
Ca4 Ca 0.8334 0.8334 0.4914 1
Ca5 Ca 0.8651 0.8651 0.1616 1
Pd1 Pd 0.3497 0.3497 0.9321 1
Pd2 Pd 0.6503 0.6503 0.0679 1
Pb1 Pb 0.2473 0.2473 0.2381 1
Pb2 Pb 0.4527 0.4527 0.7570 1
Pb3 Pb 0.5000 0.5000 0.5000 1
Pb4 Pb 0.5473 0.5473 0.2430 1
Pb5 Pb 0.7527 0.7527 0.7619 1
```

Entry 2:
Diffraction record for CaPm5Pb3. The powder XRD pattern is theoretical, not measured: it uses a cell relaxed with PBE and λ = 1.5418 Å (Cu Kα).
Peak positions follow from Bragg's law for the DFT cell and can differ from measured ones.

Most intense lines, 2θ = 5–70°, in order of rising 2θ:
- 10.5 deg, d 8.396, rel. 75
- 18.3 deg, d 4.847, rel. 68
- 26.2 deg, d 3.406, rel. 146
- 32.0 deg, d 2.799, rel. 1000
- 32.1 deg, d 2.787, rel. 763
- 41.8 deg, d 2.162, rel. 262
- 46.0 deg, d 1.975, rel. 284
- 53.8 deg, d 1.703, rel. 77
- 57.0 deg, d 1.614, rel. 494
- 63.8 deg, d 1.460, rel. 77
- 64.0 deg, d 1.455, rel. 277
- 66.9 deg, d 1.399, rel. 121

Atomic structure:
```
data_CaPm5Pb3
_cell_length_a 9.6950
_cell_length_b 9.6950
_cell_length_c 6.8112
_cell_angle_alpha 90.00
_cell_angle_beta 90.00
_cell_angle_gamma 120.00
_symmetry_space_group_name_H-M 'P 1'
_symmetry_Int_Tables_number 1
loop_
_symmetry_equiv_pos_as_xyz
'x,y,z'
loop_
_atom_site_label
_atom_site_type_symbol
_atom_site_fract_x
_atom_site_fract_y
_atom_site_fract_z
_atom_site_occupancy
Ca1 Ca 0.0000 0.0000 0.0000 1
Ca2 Ca 0.0000 0.0000 0.5000 1
Pm1 Pm 0.0000 0.3339 0.2500 1
Pm2 Pm 0.0000 0.6661 0.7500 1
Pm3 Pm 0.3333 0.6667 0.0000 1
Pm4 Pm 0.3333 0.6667 0.5000 1
Pm5 Pm 0.3339 0.0000 0.2500 1
Pm6 Pm 0.3339 0.3339 0.7500 1
Pm7 Pm 0.6661 0.0000 0.7500 1
Pm8 Pm 0.6661 0.6661 0.2500 1
Pm9 Pm 0.6667 0.3333 0.0000 1
Pm10 Pm 0.6667 0.3333 0.5000 1
Pb1 Pb 0.0000 0.3345 0.7500 1
Pb2 Pb 0.0000 0.6655 0.2500 1
Pb3 Pb 0.3345 0.0000 0.7500 1
Pb4 Pb 0.3345 0.3345 0.2500 1
Pb5 Pb 0.6655 0.0000 0.2500 1
Pb6 Pb 0.6655 0.6655 0.7500 1
```

Entry 3:
Diffraction record for CaPm4Pb5. The powder XRD pattern is theoretical, not measured: it uses a cell relaxed with PBE and λ = 1.5418 Å (Cu Kα).
Peak positions follow from Bragg's law for the DFT cell and can differ from measured ones.

Most intense lines, 2θ = 5–70°, in order of rising 2θ:
- 7.6 deg, d 11.557, rel. 22
- 19.2 deg, d 4.623, rel. 43
- 24.8 deg, d 3.584, rel. 49
- 31.6 deg, d 2.832, rel. 1000
- 35.4 deg, d 2.534, rel. 370
- 39.0 deg, d 2.311, rel. 143
- 40.6 deg, d 2.222, rel. 30
- 46.8 deg, d 1.942, rel. 20
- 51.0 deg, d 1.792, rel. 133
- 53.7 deg, d 1.708, rel. 228
- 61.2 deg, d 1.514, rel. 309
- 66.0 deg, d 1.416, rel. 247

Atomic structure:
```
data_CaPm4Pb5
_cell_length_a 3.5837
_cell_length_b 3.5837
_cell_length_c 23.1133
_cell_angle_alpha 90.00
_cell_angle_beta 90.00
_cell_angle_gamma 90.00
_symmetry_space_group_name_H-M 'P 1'
_symmetry_Int_Tables_number 1
loop_
_symmetry_equiv_pos_as_xyz
'x,y,z'
loop_
_atom_site_label
_atom_site_type_symbol
_atom_site_fract_x
_atom_site_fract_y
_atom_site_fract_z
_atom_site_occupancy
Ca1 Ca 0.0000 0.0000 0.0000 1
Pm1 Pm 0.0000 0.0000 0.2005 1
Pm2 Pm 0.0000 0.0000 0.4004 1
Pm3 Pm 0.0000 0.0000 0.5996 1
Pm4 Pm 0.0000 0.0000 0.7995 1
Pb1 Pb 0.5000 0.5000 0.1000 1
Pb2 Pb 0.5000 0.5000 0.3003 1
Pb3 Pb 0.5000 0.5000 0.5000 1
Pb4 Pb 0.5000 0.5000 0.6997 1
Pb5 Pb 0.5000 0.5000 0.9000 1
```

Entry 4:
Diffraction record for CaPmTlPb. The powder XRD pattern is theoretical, not measured: it uses a cell relaxed with PBE and λ = 1.5418 Å (Cu Kα).
Peak positions follow from Bragg's law for the DFT cell and can differ from measured ones.

Most intense lines, 2θ = 5–70°, in order of rising 2θ:
- 19.7 deg, d 4.514, rel. 69
- 22.7 deg, d 3.909, rel. 151
- 32.4 deg, d 2.764, rel. 1000
- 38.2 deg, d 2.357, rel. 40
- 39.9 deg, d 2.257, rel. 51
- 46.5 deg, d 1.955, rel. 185
- 50.9 deg, d 1.794, rel. 18
- 52.3 deg, d 1.748, rel. 73
- 57.8 deg, d 1.596, rel. 389
- 61.6 deg, d 1.505, rel. 14
- 67.8 deg, d 1.382, rel. 121

Atomic structure:
```
data_CaPmTlPb
_cell_length_a 5.5284
_cell_length_b 5.5284
_cell_length_c 5.5284
_cell_angle_alpha 60.00
_cell_angle_beta 60.00
_cell_angle_gamma 60.00
_symmetry_space_group_name_H-M 'P 1'
_symmetry_Int_Tables_number 1
loop_
_symmetry_equiv_pos_as_xyz
'x,y,z'
loop_
_atom_site_label
_atom_site_type_symbol
_atom_site_fract_x
_atom_site_fract_y
_atom_site_fract_z
_atom_site_occupancy
Ca1 Ca 0.0000 0.0000 0.0000 1
Pm1 Pm 0.5000 0.5000 0.5000 1
Tl1 Tl 0.7500 0.7500 0.7500 1
Pb1 Pb 0.2500 0.2500 0.2500 1
```

Entry 5:
Diffraction record for CaPr3Pb3. The powder XRD pattern is theoretical, not measured: it uses a cell relaxed with PBE and λ = 1.5418 Å (Cu Kα).
Peak positions follow from Bragg's law for the DFT cell and can differ from measured ones.

Most intense lines, 2θ = 5–70°, in order of rising 2θ:
- 21.9 deg, d 4.059, rel. 377
- 24.5 deg, d 3.638, rel. 771
- 24.9 deg, d 3.581, rel. 281
- 25.6 deg, d 3.476, rel. 231
- 30.1 deg, d 2.971, rel. 501
- 31.0 deg, d 2.887, rel. 1000
- 32.5 deg, d 2.752, rel. 208
- 33.0 deg, d 2.716, rel. 797
- 35.6 deg, d 2.519, rel. 316
- 40.2 deg, d 2.245, rel. 250
- 44.9 deg, d 2.018, rel. 208
- 60.1 deg, d 1.540, rel. 222

Atomic structure:
```
data_CaPr3Pb3
_cell_length_a 8.1421
_cell_length_b 8.1421
_cell_length_c 8.1202
_cell_angle_alpha 91.43
_cell_angle_beta 91.43
_cell_angle_gamma 111.64
_symmetry_space_group_name_H-M 'P 1'
_symmetry_Int_Tables_number 1
loop_
_symmetry_equiv_pos_as_xyz
'x,y,z'
loop_
_atom_site_label
_atom_site_type_symbol
_atom_site_fract_x
_atom_site_fract_y
_atom_site_fract_z
_atom_site_occupancy
Ca1 Ca 0.2111 0.2111 0.0858 1
Ca2 Ca 0.7889 0.7889 0.9142 1
Pr1 Pr 0.1298 0.1298 0.6340 1
Pr2 Pr 0.2784 0.7216 0.0000 1
Pr3 Pr 0.3469 0.6531 0.5000 1
Pr4 Pr 0.6531 0.3469 0.5000 1
Pr5 Pr 0.7216 0.2784 0.0000 1
Pr6 Pr 0.8702 0.8702 0.3660 1
Pb1 Pb 0.0053 0.6582 0.6808 1
Pb2 Pb 0.3418 0.9947 0.3192 1
Pb3 Pb 0.4427 0.4427 0.8066 1
Pb4 Pb 0.5573 0.5573 0.1934 1
Pb5 Pb 0.6582 0.0053 0.6808 1
Pb6 Pb 0.9947 0.3418 0.3192 1
```

Entry 6:
Diffraction record for CaPrPb6. The powder XRD pattern is theoretical, not measured: it uses a cell relaxed with PBE and λ = 1.5418 Å (Cu Kα).
Peak positions follow from Bragg's law for the DFT cell and can differ from measured ones.

Most intense lines, 2θ = 5–70°, in order of rising 2θ:
- 17.7 deg, d 5.019, rel. 23
- 18.1 deg, d 4.903, rel. 44
- 25.4 deg, d 3.507, rel. 42
- 25.7 deg, d 3.467, rel. 20
- 31.4 deg, d 2.853, rel. 1000
- 35.8 deg, d 2.510, rel. 177
- 36.7 deg, d 2.452, rel. 332
- 52.2 deg, d 1.754, rel. 245
- 52.8 deg, d 1.734, rel. 119
- 61.5 deg, d 1.507, rel. 150
- 62.7 deg, d 1.481, rel. 286
- 65.4 deg, d 1.426, rel. 126

Atomic structure:
```
data_CaPrPb6
_cell_length_a 4.9033
_cell_length_b 4.9033
_cell_length_c 10.0387
_cell_angle_alpha 90.00
_cell_angle_beta 90.00
_cell_angle_gamma 90.00
_symmetry_space_group_name_H-M 'P 1'
_symmetry_Int_Tables_number 1
loop_
_symmetry_equiv_pos_as_xyz
'x,y,z'
loop_
_atom_site_label
_atom_site_type_symbol
_atom_site_fract_x
_atom_site_fract_y
_atom_site_fract_z
_atom_site_occupancy
Ca1 Ca 0.0000 0.0000 0.0000 1
Pr1 Pr 0.0000 0.0000 0.5000 1
Pb1 Pb 0.0000 0.5000 0.2471 1
Pb2 Pb 0.0000 0.5000 0.7529 1
Pb3 Pb 0.5000 0.0000 0.2471 1
Pb4 Pb 0.5000 0.0000 0.7529 1
Pb5 Pb 0.5000 0.5000 0.0000 1
Pb6 Pb 0.5000 0.5000 0.5000 1
```

Entry 7:
Diffraction record for Ca4PrPb5. The powder XRD pattern is theoretical, not measured: it uses a cell relaxed with PBE and λ = 1.5418 Å (Cu Kα).
Peak positions follow from Bragg's law for the DFT cell and can differ from measured ones.

Most intense lines, 2θ = 5–70°, in order of rising 2θ:
- 19.0 deg, d 4.665, rel. 226
- 24.8 deg, d 3.596, rel. 249
- 31.4 deg, d 2.848, rel. 1000
- 35.3 deg, d 2.543, rel. 368
- 38.6 deg, d 2.332, rel. 145
- 40.4 deg, d 2.233, rel. 148
- 46.4 deg, d 1.957, rel. 101
- 50.8 deg, d 1.798, rel. 132
- 53.3 deg, d 1.719, rel. 227
- 60.9 deg, d 1.520, rel. 305
- 65.4 deg, d 1.427, rel. 121
- 65.6 deg, d 1.424, rel. 122

Atomic structure:
```
data_Ca4PrPb5
_cell_length_a 3.5957
_cell_length_b 3.5957
_cell_length_c 23.3249
_cell_angle_alpha 90.00
_cell_angle_beta 90.00
_cell_angle_gamma 90.00
_symmetry_space_group_name_H-M 'P 1'
_symmetry_Int_Tables_number 1
loop_
_symmetry_equiv_pos_as_xyz
'x,y,z'
loop_
_atom_site_label
_atom_site_type_symbol
_atom_site_fract_x
_atom_site_fract_y
_atom_site_fract_z
_atom_site_occupancy
Ca1 Ca 0.0000 0.0000 0.0998 1
Ca2 Ca 0.0000 0.0000 0.2978 1
Ca3 Ca 0.0000 0.0000 0.7022 1
Ca4 Ca 0.0000 0.0000 0.9002 1
Pr1 Pr 0.0000 0.0000 0.5000 1
Pb1 Pb 0.5000 0.5000 0.0000 1
Pb2 Pb 0.5000 0.5000 0.1990 1
Pb3 Pb 0.5000 0.5000 0.3976 1
Pb4 Pb 0.5000 0.5000 0.6024 1
Pb5 Pb 0.5000 0.5000 0.8010 1
```

Entry 8:
Diffraction record for CaPrPb2. The powder XRD pattern is theoretical, not measured: it uses a cell relaxed with PBE and λ = 1.5418 Å (Cu Kα).
Peak positions follow from Bragg's law for the DFT cell and can differ from measured ones.

Most intense lines, 2θ = 5–70°, in order of rising 2θ:
- 17.0 deg, d 5.221, rel. 377
- 19.7 deg, d 4.501, rel. 267
- 24.3 deg, d 3.668, rel. 285
- 28.1 deg, d 3.173, rel. 466
- 29.6 deg, d 3.019, rel. 263
- 31.5 deg, d 2.843, rel. 1000
- 33.0 deg, d 2.718, rel. 225
- 35.9 deg, d 2.502, rel. 828
- 38.8 deg, d 2.322, rel. 169
- 40.3 deg, d 2.236, rel. 285
- 42.6 deg, d 2.123, rel. 244
- 60.1 deg, d 1.540, rel. 177

Atomic structure:
```
data_CaPrPb2
_cell_length_a 4.4725
_cell_length_b 6.4087
_cell_length_c 9.0022
_cell_angle_alpha 90.00
_cell_angle_beta 90.00
_cell_angle_gamma 90.00
_symmetry_space_group_name_H-M 'P 1'
_symmetry_Int_Tables_number 1
loop_
_symmetry_equiv_pos_as_xyz
'x,y,z'
loop_
_atom_site_label
_atom_site_type_symbol
_atom_site_fract_x
_atom_site_fract_y
_atom_site_fract_z
_atom_site_occupancy
Ca1 Ca 0.0000 0.1190 0.0000 1
Ca2 Ca 0.0000 0.8810 0.5000 1
Pr1 Pr 0.5000 0.3675 0.3751 1
Pr2 Pr 0.5000 0.6325 0.8751 1
Pb1 Pb 0.0000 0.4240 0.6475 1
Pb2 Pb 0.0000 0.5760 0.1475 1
Pb3 Pb 0.5000 0.0993 0.7268 1
Pb4 Pb 0.5000 0.9007 0.2268 1
```

Entry 9:
Diffraction record for Ca6Pt2Pb. The powder XRD pattern is theoretical, not measured: it uses a cell relaxed with PBE and λ = 1.5418 Å (Cu Kα).
Peak positions follow from Bragg's law for the DFT cell and can differ from measured ones.

Most intense lines, 2θ = 5–70°, in order of rising 2θ:
- 16.2 deg, d 5.463, rel. 543
- 17.8 deg, d 4.974, rel. 258
- 18.4 deg, d 4.831, rel. 1000
- 21.7 deg, d 4.099, rel. 370
- 26.1 deg, d 3.410, rel. 265
- 32.1 deg, d 2.791, rel. 423
- 32.9 deg, d 2.720, rel. 875
- 33.8 deg, d 2.652, rel. 566
- 34.2 deg, d 2.624, rel. 283
- 35.3 deg, d 2.541, rel. 309
- 37.2 deg, d 2.414, rel. 569
- 44.0 deg, d 2.060, rel. 488

Atomic structure:
```
data_Ca6Pt2Pb
_cell_length_a 8.8273
_cell_length_b 8.8273
_cell_length_c 8.8273
_cell_angle_alpha 113.65
_cell_angle_beta 111.40
_cell_angle_gamma 103.53
_symmetry_space_group_name_H-M 'P 1'
_symmetry_Int_Tables_number 1
loop_
_symmetry_equiv_pos_as_xyz
'x,y,z'
loop_
_atom_site_label
_atom_site_type_symbol
_atom_site_fract_x
_atom_site_fract_y
_atom_site_fract_z
_atom_site_occupancy
Ca1 Ca 0.0380 0.2407 0.7973 1
Ca2 Ca 0.1788 0.2887 0.4675 1
Ca3 Ca 0.1788 0.7113 0.8901 1
Ca4 Ca 0.3364 0.0234 0.6870 1
Ca5 Ca 0.3364 0.6493 0.3130 1
Ca6 Ca 0.4433 0.2407 0.2027 1
Ca7 Ca 0.5567 0.7593 0.7973 1
Ca8 Ca 0.6636 0.3507 0.6870 1
Ca9 Ca 0.6636 0.9766 0.3130 1
Ca10 Ca 0.8212 0.2887 0.1099 1
Ca11 Ca 0.8212 0.7113 0.5325 1
Ca12 Ca 0.9620 0.7593 0.2027 1
Pt1 Pt 0.1295 0.6295 0.5000 1
Pt2 Pt 0.3353 0.0000 0.3353 1
Pt3 Pt 0.6647 0.0000 0.6647 1
Pt4 Pt 0.8705 0.3705 0.5000 1
Pb1 Pb 0.0000 0.0000 0.0000 1
Pb2 Pb 0.5000 0.5000 0.0000 1
```

Entry 10:
Diffraction record for Ca4Pt2Pb. The powder XRD pattern is theoretical, not measured: it uses a cell relaxed with PBE and λ = 1.5418 Å (Cu Kα).
Peak positions follow from Bragg's law for the DFT cell and can differ from measured ones.

Most intense lines, 2θ = 5–70°, in order of rising 2θ:
- 22.8 deg, d 3.900, rel. 748
- 26.3 deg, d 3.391, rel. 297
- 30.5 deg, d 2.927, rel. 308
- 34.3 deg, d 2.614, rel. 1000
- 35.3 deg, d 2.541, rel. 528
- 41.6 deg, d 2.172, rel. 167
- 49.9 deg, d 1.828, rel. 245
- 50.1 deg, d 1.822, rel. 195
- 51.7 deg, d 1.767, rel. 156
- 55.0 deg, d 1.670, rel. 153
- 61.4 deg, d 1.509, rel. 183
- 62.1 deg, d 1.495, rel. 202

Atomic structure:
```
data_Ca4Pt2Pb
_cell_length_a 5.2294
_cell_length_b 5.2294
_cell_length_c 15.3482
_cell_angle_alpha 90.00
_cell_angle_beta 90.00
_cell_angle_gamma 120.02
_symmetry_space_group_name_H-M 'P 1'
_symmetry_Int_Tables_number 1
loop_
_symmetry_equiv_pos_as_xyz
'x,y,z'
loop_
_atom_site_label
_atom_site_type_symbol
_atom_site_fract_x
_atom_site_fract_y
_atom_site_fract_z
_atom_site_occupancy
Ca1 Ca 0.0000 0.0000 0.0000 1
Ca2 Ca 0.0000 0.0000 0.5000 1
Ca3 Ca 0.3330 0.6670 0.6249 1
Ca4 Ca 0.3330 0.6670 0.8751 1
Ca5 Ca 0.3338 0.6662 0.2500 1
Ca6 Ca 0.6662 0.3338 0.7500 1
Ca7 Ca 0.6670 0.3330 0.1249 1
Ca8 Ca 0.6670 0.3330 0.3751 1
Pt1 Pt 0.3337 0.6663 0.0596 1
Pt2 Pt 0.3337 0.6663 0.4404 1
Pt3 Pt 0.6663 0.3337 0.5596 1
Pt4 Pt 0.6663 0.3337 0.9404 1
Pb1 Pb 0.0006 0.9994 0.2500 1
Pb2 Pb 0.9994 0.0006 0.7500 1
```

Entry 11:
Diffraction record for Ca5PuPb6. The powder XRD pattern is theoretical, not measured: it uses a cell relaxed with PBE and λ = 1.5418 Å (Cu Kα).
Peak positions follow from Bragg's law for the DFT cell and can differ from measured ones.

Most intense lines, 2θ = 5–70°, in order of rising 2θ:
- 19.5 deg, d 4.547, rel. 328
- 24.5 deg, d 3.638, rel. 196
- 24.6 deg, d 3.617, rel. 192
- 31.5 deg, d 2.841, rel. 1000
- 31.6 deg, d 2.830, rel. 976
- 35.0 deg, d 2.565, rel. 748
- 39.6 deg, d 2.274, rel. 267
- 40.4 deg, d 2.234, rel. 233
- 53.9 deg, d 1.701, rel. 442
- 60.5 deg, d 1.530, rel. 312
- 60.7 deg, d 1.525, rel. 228
- 66.9 deg, d 1.398, rel. 233

Atomic structure:
```
data_Ca5PuPb6
_cell_length_a 5.8087
_cell_length_b 7.2765
_cell_length_c 9.2829
_cell_angle_alpha 112.99
_cell_angle_beta 95.80
_cell_angle_gamma 90.07
_symmetry_space_group_name_H-M 'P 1'
_symmetry_Int_Tables_number 1
loop_
_symmetry_equiv_pos_as_xyz
'x,y,z'
loop_
_atom_site_label
_atom_site_type_symbol
_atom_site_fract_x
_atom_site_fract_y
_atom_site_fract_z
_atom_site_occupancy
Ca1 Ca 0.0000 0.0000 0.0000 1
Ca2 Ca 0.3260 0.3309 0.6615 1
Ca3 Ca 0.3296 0.8328 0.6655 1
Ca4 Ca 0.6704 0.1672 0.3345 1
Ca5 Ca 0.6740 0.6691 0.3385 1
Pu1 Pu 0.0000 0.5000 0.0000 1
Pb1 Pb 0.1703 0.4145 0.3287 1
Pb2 Pb 0.1700 0.9143 0.3290 1
Pb3 Pb 0.5000 0.2523 0.0001 1
Pb4 Pb 0.5000 0.7477 0.9999 1
Pb5 Pb 0.8300 0.0857 0.6710 1
Pb6 Pb 0.8297 0.5855 0.6713 1
```

Entry 12:
Diffraction record for CaPu3Pb4. The powder XRD pattern is theoretical, not measured: it uses a cell relaxed with PBE and λ = 1.5418 Å (Cu Kα).
Peak positions follow from Bragg's law for the DFT cell and can differ from measured ones.

Most intense lines, 2θ = 5–70°, in order of rising 2θ:
- 7.5 deg, d 11.756, rel. 102
- 15.1 deg, d 5.885, rel. 51
- 16.8 deg, d 5.267, rel. 44
- 30.4 deg, d 2.942, rel. 687
- 30.7 deg, d 2.912, rel. 20
- 34.4 deg, d 2.610, rel. 1000
- 43.5 deg, d 2.081, rel. 264
- 54.8 deg, d 1.675, rel. 68
- 56.6 deg, d 1.627, rel. 493
- 63.1 deg, d 1.473, rel. 45
- 63.3 deg, d 1.469, rel. 47
- 63.9 deg, d 1.456, rel. 174

Atomic structure:
```
data_CaPu3Pb4
_cell_length_a 3.3505
_cell_length_b 5.8916
_cell_length_c 11.7562
_cell_angle_alpha 90.00
_cell_angle_beta 90.00
_cell_angle_gamma 90.00
_symmetry_space_group_name_H-M 'P 1'
_symmetry_Int_Tables_number 1
loop_
_symmetry_equiv_pos_as_xyz
'x,y,z'
loop_
_atom_site_label
_atom_site_type_symbol
_atom_site_fract_x
_atom_site_fract_y
_atom_site_fract_z
_atom_site_occupancy
Ca1 Ca 0.0000 0.0000 0.0000 1
Pu1 Pu 0.0000 0.0000 0.5000 1
Pu2 Pu 0.0000 0.5000 0.2475 1
Pu3 Pu 0.0000 0.5000 0.7525 1
Pb1 Pb 0.5000 0.0000 0.2507 1
Pb2 Pb 0.5000 0.0000 0.7493 1
Pb3 Pb 0.5000 0.5000 0.0000 1
Pb4 Pb 0.5000 0.5000 0.5000 1
```